Record 1
For Tl3ZnCl5, a crystal structure in Alexandria, relaxed with PBE gives the simulated PXRD pattern in this record (Cu Kα).
Neutral-atom scattering factors, no anomalous dispersion.

The 8 most intense peaks (2θ = 10–80°), sorted by position:
| 2theta | I_rel | (hkl) |
| --- | --- | --- |
| 19.0 | 19 | 1 1 2 |
| 24.1 | 100 | 2 0 2 |
| 24.2 | 32 | 0 0 4 |
| 29.6 | 74 | 2 1 3 |
| 33.1 | 33 | 3 1 0 |
| 38.6 | 34 | 2 2 4 |
| 44.1 | 22 | 4 0 2 |
| 47.6 | 26 | 4 2 0 |

Unit cell a=8.554 b=8.554 c=14.685 alpha=90.00 beta=90.00 gamma=90.00
Space group I4/mcm (No. 140)
Unique sites:
Tl 0.000 0.000 0.250 (multiplicity 4)
Tl 0.164 0.336 0.000 (multiplicity 8)
Zn 0.000 0.500 0.250 (multiplicity 4)
Cl 0.000 0.000 0.000 (multiplicity 4)
Cl 0.150 0.350 0.345 (multiplicity 16)

---

Record 2
For K3TbEr2O6, a crystal structure in Alexandria, relaxed with PBE gives the simulated PXRD pattern in this record (Cu Kα).
Neutral-atom scattering factors, no anomalous dispersion.

The 8 most intense peaks (2θ = 10–80°), sorted by position:
| 2theta | I_rel | (hkl) |
| --- | --- | --- |
| 14.2 | 100 | 0 0 1 |
| 28.5 | 35 | 0 0 2 |
| 30.2 | 38 | 1 3 0 |
| 31.3 | 74 | 2 0 0 |
| 35.5 | 97 | 1 3 1 |
| 49.3 | 33 | 2 0 2 |
| 52.8 | 30 | 0 6 0 |
| 61.1 | 25 | 3 3 1 |

Unit cell a=6.002 b=10.396 c=6.568 alpha=90.00 beta=107.74 gamma=90.00
Space group C2/m (No. 12)
Unique sites:
K 0.000 0.000 0.000 (multiplicity 2)
K 0.000 0.333 0.000 (multiplicity 4)
Tb 0.000 0.500 0.500 (multiplicity 2)
Er 0.000 0.167 0.500 (multiplicity 4)
O 0.224 0.000 0.685 (multiplicity 4)
O 0.230 0.331 0.685 (multiplicity 8)